Entry 1:
The following is a calculated X-ray powder pattern of Ba2Sr3Pt4. It was derived from a cell relaxed with PBE, using copper Kα.
No peak broadening, texture or thermal motion is included.

Peak list (8 most intense, 2θ = 10–90°, sorted by position)
21.14°, rel. 66, hkl 1 1 1
28.23°, rel. 37, hkl 1 2 1
28.96°, rel. 39, hkl 2 1 -2
30.47°, rel. 67, hkl 1 1 2
30.75°, rel. 76, hkl 2 2 -1
31.11°, rel. 63, hkl 2 2 0
34.37°, rel. 61, hkl 0 3 1
34.79°, rel. 100, hkl 1 1 -3

Atomic structure:
a b c (Å): 8.338 8.309 8.138
angles (deg): 90.00 107.49 90.00
Space group P2_1/c (No. 14)
Asymmetric unit:
1 Ba 0.198 0.179 0.082 x4
2 Sr 0.243 0.675 0.251 x4
3 Sr 0.500 0.000 0.500 x2
4 Pt 0.087 0.530 0.880 x4
5 Pt 0.496 0.120 0.880 x4

=====

Entry 2:
The following is a calculated X-ray powder pattern of CaUNi2S4. It was derived from a cell relaxed with PBE, using copper Kα.
No peak broadening, texture or thermal motion is included.

Peak list (8 most intense, 2θ = 10–90°, sorted by position)
18.72°, rel. 67, hkl 0 1 1
18.85°, rel. 24, hkl 1 0 1
19.84°, rel. 22, hkl 1 1 0
32.19°, rel. 100, hkl 1 1 2
34.21°, rel. 32, hkl 2 1 1
40.31°, rel. 54, hkl 2 2 0
52.29°, rel. 25, hkl 1 3 2
52.69°, rel. 25, hkl 3 1 2

Atomic structure:
a b c (Å): 6.292 6.366 7.099
angles (deg): 90.00 90.00 90.00
Space group Immm (No. 71)
Asymmetric unit:
1 Ca 0.000 0.000 0.000 x2
2 U 0.000 0.000 0.500 x2
3 Ni 0.000 0.500 0.197 x4
4 S 0.250 0.250 0.250 x8

=====

Entry 3:
The following is a calculated X-ray powder pattern of Er3Si3Ir2. It was derived from a cell relaxed with PBE, using copper Kα.
No peak broadening, texture or thermal motion is included.

Peak list (8 most intense, 2θ = 10–90°, sorted by position)
29.91°, rel. 45, hkl 1 1 3
34.22°, rel. 78, hkl 1 3 1
34.54°, rel. 100, hkl 1 1 4
35.37°, rel. 32, hkl 0 4 1
38.93°, rel. 88, hkl 0 0 6
39.98°, rel. 40, hkl 0 4 3
42.78°, rel. 94, hkl 2 0 0
60.01°, rel. 33, hkl 2 4 3

Atomic structure:
a b c (Å): 4.223 10.325 13.899
angles (deg): 90.00 90.00 90.00
Space group Cmcm (No. 63)
Asymmetric unit:
1 Er 0.000 0.083 0.112 x8
2 Er 0.000 0.362 0.250 x4
3 Si 0.000 0.335 0.750 x4
4 Si 0.000 0.381 0.036 x8
5 Ir 0.000 0.202 0.597 x8

=====

Entry 4:
The following is a calculated X-ray powder pattern of Pu3Tl3CuS8. It was derived from a cell relaxed with PBE, using copper Kα.
No peak broadening, texture or thermal motion is included.

Peak list (8 most intense, 2θ = 10–90°, sorted by position)
23.67°, rel. 49, hkl 0 0 2
27.06°, rel. 64, hkl 2 2 0
27.93°, rel. 29, hkl 4 0 -2
30.56°, rel. 100, hkl 2 2 -2
30.87°, rel. 47, hkl 4 0 0
41.26°, rel. 38, hkl 2 2 2
46.60°, rel. 33, hkl 6 2 -2
48.44°, rel. 28, hkl 0 0 4

Atomic structure:
a b c (Å): 13.387 8.013 8.685
angles (deg): 90.00 120.05 90.00
Space group C2/m (No. 12)
Asymmetric unit:
1 Pu 0.000 0.000 0.000 x2
2 Pu 0.250 0.250 0.000 x4
3 Tl 0.000 0.500 0.500 x2
4 Tl 0.250 0.250 0.500 x4
5 Cu 0.000 0.500 0.000 x2
6 S 0.021 0.239 0.805 x8
7 S 0.206 0.500 0.171 x4
8 S 0.233 0.000 0.197 x4

=====

Entry 5:
The following is a calculated X-ray powder pattern of In5SnSb3Te. It was derived from a cell relaxed with PBE, using copper Kα.
No peak broadening, texture or thermal motion is included.

Peak list (8 most intense, 2θ = 10–90°, sorted by position)
23.13°, rel. 100, hkl 1 2 1
38.19°, rel. 54, hkl 2 2 3
38.26°, rel. 27, hkl 2 3 0
45.06°, rel. 17, hkl 1 1 4
45.18°, rel. 33, hkl 3 2 0
60.59°, rel. 13, hkl 3 4 4
68.98°, rel. 9, hkl 2 1 6
69.12°, rel. 18, hkl 4 1 5

Atomic structure:
a b c (Å): 6.656 8.149 8.167
angles (deg): 80.29 65.98 65.93
Space group P1 (No. 1)
Asymmetric unit:
1 In 0.000 0.000 0.000 x1
2 In 0.176 0.208 0.419 x1
3 In 0.373 0.424 0.804 x1
4 In 0.588 0.625 0.209 x1
5 In 0.788 0.810 0.611 x1
6 Sn 0.930 0.714 0.907 x1
7 Sb 0.129 0.914 0.309 x1
8 Sb 0.343 0.114 0.708 x1
9 Sb 0.736 0.512 0.508 x1
10 Te 0.536 0.312 0.111 x1